Structure and computed powder XRD pattern of Mo3Ru2 (a crystal structure in Alexandria, relaxed with PBE; CuKα).
Lines closer than 0.1° are merged.

Structure:
```
Mo3Ru2
1.0
6.783 -6.802 0.000
6.783 6.802 0.000
0.000 0.000 4.950
Mo Ru
18 12
Direct
0.040 0.628 0.005
0.105 0.895 0.000
0.131 0.463 0.506
0.179 0.179 0.753
0.180 0.180 0.250
0.325 0.675 0.259
0.372 0.960 0.005
0.395 0.395 0.502
0.463 0.131 0.506
0.537 0.869 0.506
0.605 0.605 0.502
0.628 0.040 0.005
0.675 0.325 0.259
0.820 0.820 0.250
0.821 0.821 0.753
0.869 0.537 0.506
0.895 0.105 0.000
0.960 0.372 0.005
0.000 0.000 0.498
0.070 0.735 0.501
0.235 0.432 0.000
0.265 0.930 0.501
0.315 0.685 0.759
0.432 0.235 0.000
0.500 0.500 0.002
0.568 0.765 0.000
0.685 0.315 0.759
0.735 0.070 0.501
0.765 0.568 0.000
0.930 0.265 0.501
```

Most intense lines, 10° ≤ 2θ ≤ 80°, in order of rising 2θ:
2θ = 36.3°, I = 22
2θ = 38.6°, I = 87
2θ = 41.0°, I = 30
2θ = 42.1°, I = 69
2θ = 42.9°, I = 100
2θ = 43.9°, I = 26
2θ = 44.0°, I = 25
2θ = 69.9°, I = 22